# 1
Structure and calculated powder X-ray diffraction pattern of CeBePtC (a PBE-relaxed structure; CuKα).

Peak list (10 most intense, 10° ≤ 2θ ≤ 90°, most intense first)
2theta, Rel. int.
34.9, 100
10.8, 62
39.9, 59
32.9, 44
47.4, 36
58.9, 33
56.5, 33
25.7, 32
32.0, 25
21.8, 19

Structure:
```
CeBePtC
1.0
3.836 0.000 0.000
0.000 3.836 0.000
0.000 0.000 8.156
Ce Be Pt C
2 2 2 2
Direct
0.250 0.250 0.158
0.750 0.750 0.842
0.250 0.250 0.659
0.750 0.750 0.341
0.250 0.750 0.500
0.750 0.250 0.500
0.250 0.250 0.871
0.750 0.750 0.129
```

---

# 2
Structure and calculated powder X-ray diffraction pattern of ZrCu5 (a PBE-relaxed structure; CuKα).

Peak list (10 most intense, 10° ≤ 2θ ≤ 90°, most intense first)
2theta, Rel. int.
43.5, 100
45.5, 35
36.8, 33
70.9, 28
78.4, 23
66.3, 11
89.9, 5
53.1, 3
22.3, 2
25.8, 1

Structure:
```
ZrCu5
1.0
0.000 3.452 3.452
3.452 0.000 3.452
3.452 3.452 0.000
Zr Cu
1 5
Direct
0.000 0.000 0.000
0.376 0.376 0.376
0.376 0.376 0.873
0.376 0.873 0.376
0.750 0.750 0.750
0.873 0.376 0.376
```

---

# 3
Structure and calculated powder X-ray diffraction pattern of Er2Tm4H2Pb3 (a PBE-relaxed structure; CuKα).

Peak list (10 most intense, 10° ≤ 2θ ≤ 90°, most intense first)
2theta, Rel. int.
34.9, 100
38.6, 51
28.0, 35
67.5, 35
30.8, 19
55.8, 18
19.4, 16
31.8, 14
54.1, 13
28.9, 12

Structure:
```
Er2Tm4H2Pb3
1.0
-2.331 2.331 12.346
2.331 -2.331 12.346
2.331 2.331 -12.346
Er Tm H Pb
2 4 2 3
Direct
0.196 0.196 0.000
0.804 0.804 0.000
0.084 0.584 0.500
0.416 0.916 0.500
0.584 0.084 0.500
0.916 0.416 0.500
0.101 0.101 0.000
0.899 0.899 0.000
0.323 0.323 0.000
0.500 0.500 0.000
0.677 0.677 0.000
```

---

# 4
Structure and calculated powder X-ray diffraction pattern of Mg2Tl3Pb3 (a PBE-relaxed structure; CuKα).

Peak list (10 most intense, 10° ≤ 2θ ≤ 90°, most intense first)
2theta, Rel. int.
31.3, 100
32.7, 86
34.8, 46
50.7, 42
20.3, 30
62.0, 29
28.0, 28
59.4, 20
43.1, 12
62.1, 12

Structure:
```
Mg2Tl3Pb3
1.0
8.733 0.000 0.000
-4.367 7.563 0.000
0.000 0.000 3.517
Mg Tl Pb
2 3 3
Direct
0.333 0.667 0.000
0.667 0.333 0.000
0.000 0.233 0.000
0.233 0.000 0.000
0.767 0.767 0.000
0.000 0.587 0.500
0.413 0.413 0.500
0.587 0.000 0.500
```